For NbSeCl3, the PBE geometry in the Materials Project gives the theoretical powder XRD pattern in this record (Cu Kα (λ = 1.5418 Å)).
Intensities are scaled so that the largest is 100.

Structure:
```
data_NbSeCl3
_space_group_name_H-M_alt 'P 1 2/c 1'
_space_group_IT_number 13
_space_group_name_Hall '-P 2yc'
_cell_length_a 6.649
_cell_length_b 7.097
_cell_length_c 12.138
_cell_angle_alpha 90.00
_cell_angle_beta 98.34
_cell_angle_gamma 90.00
loop_
_atom_site_label
_atom_site_type_symbol
_atom_site_fract_x
_atom_site_fract_y
_atom_site_fract_z
Nb1 Nb 0.072 0.138 0.146
Se1 Se 0.162 0.409 0.301
Cl1 Cl 0.148 0.170 0.541
Cl2 Cl 0.236 0.051 0.802
Cl3 Cl 0.349 0.276 0.072
```

Top 12 peaks for 2θ = 10–80°, in order of rising 2θ:
- 12.47°, intensity 14, (0 1 0)
- 13.46°, intensity 100, (1 0 0)
- 14.50°, intensity 89, (0 1 1)
- 14.75°, intensity 18, (0 0 2)
- 20.56°, intensity 22, (1 1 1)
- 22.38°, intensity 15, (1 1 -2)
- 34.59°, intensity 18, (1 0 4)
- 35.23°, intensity 44, (1 2 -3)
- 38.85°, intensity 18, (2 2 1)
- 41.61°, intensity 16, (2 2 -3)
- 45.98°, intensity 20, (2 2 3)
- 46.06°, intensity 15, (1 2 -5)